Computed X-ray powder pattern of Ce3Si4Ni7 for Cu Kα, 1.54184 Å, from a GGA-PBE-relaxed structure.
No peak broadening, texture or thermal motion is included.

The 6 most intense peaks (2θ = 10–80°), by intensity:
d/Å	Position (°2θ)	intensity
2.360	38.14	100
2.405	37.39	81
2.002	45.29	55
3.657	24.34	52
2.389	37.66	51
2.816	31.77	45

Crystal structure
a = 7.598 Å, b = 7.598 Å, c = 8.933 Å
α = 124.37°, β = 124.37°, γ = 30.56°
Fractional positions:
Ce  0.000  0.000  0.000
Ce  0.316  0.316  0.313
Ce  0.684  0.684  0.687
Si  0.119  0.119  0.397
Si  0.330  0.330  0.977
Si  0.670  0.670  0.023
Si  0.881  0.881  0.603
Ni  0.000  0.000  0.500
Ni  0.129  0.129  0.859
Ni  0.317  0.317  0.685
Ni  0.498  0.498  0.718
Ni  0.502  0.502  0.282
Ni  0.683  0.683  0.315
Ni  0.871  0.871  0.141